[1]
Eu3NbO7: calculated powder diffraction line list (Cu Kα (weighted mean of Kα1 and Kα2)), based on DFT lattice parameters and positions (PBE).

Most intense lines, 10 to 80 degrees two-theta, in order of rising 2θ:
2theta	intensity
28.34	100
28.86	91
33.14	67
46.92	18
47.56	50
56.03	28
56.25	12
56.55	11
56.92	17
76.44	10

Crystal structure
```
data_Eu3NbO7
_cell_length_a 7.5409
_cell_length_b 7.7455
_cell_length_c 10.8256
_cell_angle_alpha 90.00
_cell_angle_beta 90.00
_cell_angle_gamma 90.00
_space_group_name_H-M_alt 'P 1'
_space_group_IT_number 1
loop_
_space_group_symop_operation_xyz
'x,y,z'
loop_
_atom_site_label
_atom_site_type_symbol
_atom_site_fract_x
_atom_site_fract_y
_atom_site_fract_z
Eu1 Eu 0.0230 0.0064 0.2447
Eu2 Eu 0.2077 0.2504 0.5143
Eu3 Eu 0.2209 0.2456 0.9777
Eu4 Eu 0.2791 0.7544 0.4777
Eu5 Eu 0.2923 0.7496 0.0143
Eu6 Eu 0.4770 0.9936 0.7447
Eu7 Eu 0.5230 0.4936 0.7553
Eu8 Eu 0.7077 0.2496 0.4857
Eu9 Eu 0.7209 0.2544 0.0223
Eu10 Eu 0.7791 0.7456 0.5223
Eu11 Eu 0.7923 0.7504 0.9857
Eu12 Eu 0.9770 0.5064 0.2553
Nb1 Nb 0.0035 0.4940 0.7490
Nb2 Nb 0.4965 0.5060 0.2490
Nb3 Nb 0.5035 0.0060 0.2510
Nb4 Nb 0.9965 0.9940 0.7510
O1 O 0.0093 0.7614 0.3822
O2 O 0.0313 0.7459 0.1162
O3 O 0.0680 0.2504 0.7422
O4 O 0.1445 0.5404 0.6019
O5 O 0.1951 0.9691 0.6222
O6 O 0.1966 0.5302 0.8691
O7 O 0.2148 0.9665 0.8693
O8 O 0.2852 0.0335 0.3693
O9 O 0.3034 0.4698 0.3691
O10 O 0.3049 0.0309 0.1222
O11 O 0.3555 0.4596 0.1019
O12 O 0.4320 0.7496 0.2422
O13 O 0.4687 0.2541 0.6162
O14 O 0.4907 0.2386 0.8822
O15 O 0.5093 0.7386 0.6178
O16 O 0.5313 0.7541 0.8838
O17 O 0.5680 0.2496 0.2578
O18 O 0.6445 0.9596 0.3981
O19 O 0.6951 0.5309 0.3778
O20 O 0.6966 0.9698 0.1309
O21 O 0.7148 0.5335 0.1307
O22 O 0.7852 0.4665 0.6307
O23 O 0.8034 0.0302 0.6309
O24 O 0.8049 0.4691 0.8778
O25 O 0.8555 0.0404 0.8981
O26 O 0.9320 0.7504 0.7578
O27 O 0.9687 0.2459 0.3838
O28 O 0.9907 0.2614 0.1178
```

=====

[2]
Eu2Nb5O9: calculated powder diffraction line list (Cu Kα (weighted mean of Kα1 and Kα2)), based on DFT lattice parameters and positions (PBE).

Most intense lines, 10 to 80 degrees two-theta, in order of rising 2θ:
2theta	intensity
30.13	19
30.69	100
31.04	33
33.62	28
42.60	15
43.13	50
44.76	22
53.86	41
62.63	17
63.90	29

Crystal structure
```
data_Eu2Nb5O9
_cell_length_a 4.1947
_cell_length_b 4.1947
_cell_length_c 12.1495
_cell_angle_alpha 90.00
_cell_angle_beta 90.00
_cell_angle_gamma 90.00
_space_group_name_H-M_alt 'P 1'
_space_group_IT_number 1
loop_
_space_group_symop_operation_xyz
'x,y,z'
loop_
_atom_site_label
_atom_site_type_symbol
_atom_site_fract_x
_atom_site_fract_y
_atom_site_fract_z
Eu1 Eu 0.0000 0.0000 0.1698
Eu2 Eu 0.0000 0.0000 0.8302
Nb1 Nb 0.0000 0.5000 0.5000
Nb2 Nb 0.5000 0.0000 0.5000
Nb3 Nb 0.5000 0.5000 0.0000
Nb4 Nb 0.5000 0.5000 0.3349
Nb5 Nb 0.5000 0.5000 0.6651
O1 O 0.0000 0.0000 0.5000
O2 O 0.0000 0.5000 0.0000
O3 O 0.0000 0.5000 0.3218
O4 O 0.0000 0.5000 0.6782
O5 O 0.5000 0.0000 0.0000
O6 O 0.5000 0.0000 0.3218
O7 O 0.5000 0.0000 0.6782
O8 O 0.5000 0.5000 0.1622
O9 O 0.5000 0.5000 0.8378
```

=====

[3]
Eu3NbO7: calculated powder diffraction line list (Cu Kα (weighted mean of Kα1 and Kα2)), based on DFT lattice parameters and positions (PBE).

Most intense lines, 10 to 80 degrees two-theta, in order of rising 2θ:
2theta	intensity
28.28	100
29.03	93
32.97	23
33.33	43
46.88	18
47.59	53
56.08	40
56.48	12
57.38	20
76.36	11

Crystal structure
```
data_Eu3NbO7
_cell_length_a 6.5910
_cell_length_b 6.5910
_cell_length_c 7.7527
_cell_angle_alpha 90.00
_cell_angle_beta 90.00
_cell_angle_gamma 68.95
_space_group_name_H-M_alt 'P 1'
_space_group_IT_number 1
loop_
_space_group_symop_operation_xyz
'x,y,z'
loop_
_atom_site_label
_atom_site_type_symbol
_atom_site_fract_x
_atom_site_fract_y
_atom_site_fract_z
Eu1 Eu 0.0000 0.0000 0.0000
Eu2 Eu 0.0000 0.0000 0.5000
Eu3 Eu 0.0531 0.4825 0.7500
Eu4 Eu 0.4825 0.0531 0.2500
Eu5 Eu 0.5175 0.9469 0.7500
Eu6 Eu 0.9469 0.5175 0.2500
Nb1 Nb 0.5000 0.5000 0.0000
Nb2 Nb 0.5000 0.5000 0.5000
O1 O 0.1115 0.1526 0.2500
O2 O 0.1526 0.1115 0.7500
O3 O 0.1792 0.5661 0.0317
O4 O 0.1792 0.5661 0.4683
O5 O 0.4339 0.8208 0.0317
O6 O 0.4339 0.8208 0.4683
O7 O 0.4354 0.5646 0.7500
O8 O 0.5646 0.4354 0.2500
O9 O 0.5661 0.1792 0.5317
O10 O 0.5661 0.1792 0.9683
O11 O 0.8208 0.4339 0.5317
O12 O 0.8208 0.4339 0.9683
O13 O 0.8474 0.8885 0.2500
O14 O 0.8885 0.8474 0.7500
```

=====

[4]
SrPrEuNbO6: calculated powder diffraction line list (Cu Kα (weighted mean of Kα1 and Kα2)), based on DFT lattice parameters and positions (PBE).

Most intense lines, 10 to 80 degrees two-theta, in order of rising 2θ:
2theta	intensity
17.77	5
29.21	100
34.40	4
35.98	2
41.79	31
45.74	2
51.80	41
60.58	19
68.65	18
76.30	6

Crystal structure
```
data_SrPrEuNbO6
_cell_length_a 6.1142
_cell_length_b 6.1142
_cell_length_c 6.1142
_cell_angle_alpha 60.00
_cell_angle_beta 60.00
_cell_angle_gamma 60.00
_space_group_name_H-M_alt 'P 1'
_space_group_IT_number 1
loop_
_space_group_symop_operation_xyz
'x,y,z'
loop_
_atom_site_label
_atom_site_type_symbol
_atom_site_fract_x
_atom_site_fract_y
_atom_site_fract_z
Sr1 Sr 0.0000 0.0000 0.0000
Pr1 Pr 0.2500 0.2500 0.2500
Eu1 Eu 0.5000 0.5000 0.5000
Nb1 Nb 0.7500 0.7500 0.7500
O1 O 0.5178 0.5178 0.9822
O2 O 0.5178 0.9822 0.5178
O3 O 0.5178 0.9822 0.9822
O4 O 0.9822 0.5178 0.5178
O5 O 0.9822 0.5178 0.9822
O6 O 0.9822 0.9822 0.5178
```